No. 1
Diffraction record for PuMgOs. The powder diffraction line list is simulated, not measured: it uses a crystal structure in Alexandria, relaxed with GGA-PBE and λ = 1.5418 Å (Cu Kα).

Crystal structure
Unit cell a=3.306 b=15.529 c=4.468 alpha=90.00 beta=90.00 gamma=90.00
Fractional positions:
Pu: 0.000 0.067 0.250
Pu: 0.000 0.933 0.750
Pu: 0.500 0.433 0.750
Pu: 0.500 0.567 0.250
Mg: 0.000 0.253 0.750
Mg: 0.000 0.747 0.250
Mg: 0.500 0.247 0.250
Mg: 0.500 0.753 0.750
Os: 0.000 0.390 0.250
Os: 0.000 0.610 0.750
Os: 0.500 0.110 0.750
Os: 0.500 0.890 0.250

Peak list (10 most intense, 2θ from 10° to 90°, in order of rising 2θ)
2θ (°)	I_rel
11.4	66.6
22.9	16.2
30.5	13.8
34.2	27.8
34.7	18.9
38.1	100.0
40.3	22.2
40.4	25.0
70.9	18.4
71.9	16.0

No. 2
Diffraction record for MgZrOsRu. The powder diffraction line list is simulated, not measured: it uses a crystal structure in Alexandria, relaxed with GGA-PBE and λ = 1.5418 Å (Cu Kα).

Crystal structure
Unit cell a=6.411 b=6.411 c=6.411 alpha=90.00 beta=90.00 gamma=90.00
Fractional positions:
Mg: 0.000 0.000 0.000
Mg: 0.000 0.500 0.500
Mg: 0.500 0.000 0.500
Mg: 0.500 0.500 0.000
Zr: 0.000 0.000 0.500
Zr: 0.000 0.500 0.000
Zr: 0.500 0.000 0.000
Zr: 0.500 0.500 0.500
Os: 0.250 0.250 0.250
Os: 0.250 0.750 0.750
Os: 0.750 0.250 0.750
Os: 0.750 0.750 0.250
Ru: 0.250 0.250 0.750
Ru: 0.250 0.750 0.250
Ru: 0.750 0.250 0.250
Ru: 0.750 0.750 0.750

Peak list (10 most intense, 2θ from 10° to 90°, in order of rising 2θ)
2θ (°)	I_rel
24.0	16.7
27.8	22.3
39.8	100.0
47.0	8.7
49.2	6.5
57.5	16.9
63.2	3.7
65.1	8.6
72.2	33.9
85.7	10.9

No. 3
Diffraction record for MgSc3Os. The powder diffraction line list is simulated, not measured: it uses a crystal structure in Alexandria, relaxed with GGA-PBE and λ = 1.5418 Å (Cu Kα).

Crystal structure
Unit cell a=9.042 b=7.529 c=3.185 alpha=90.00 beta=90.00 gamma=90.00
Fractional positions:
Mg: 0.250 0.083 0.000
Mg: 0.750 0.917 0.000
Sc: 0.042 0.788 0.501
Sc: 0.250 0.454 0.502
Sc: 0.458 0.788 0.501
Sc: 0.542 0.212 0.501
Sc: 0.750 0.546 0.502
Sc: 0.958 0.212 0.501
Os: 0.000 0.500 0.001
Os: 0.500 0.500 0.001

Peak list (10 most intense, 2θ from 10° to 90°, in order of rising 2θ)
2θ (°)	I_rel
11.8	100.0
19.6	35.1
22.9	27.2
23.6	14.6
30.5	12.8
35.8	15.7
36.5	57.6
37.0	22.2
39.9	14.0
42.2	40.8

No. 4
Diffraction record for Mg4TcOs. The powder diffraction line list is simulated, not measured: it uses a crystal structure in Alexandria, relaxed with GGA-PBE and λ = 1.5418 Å (Cu Kα).

Crystal structure
Unit cell a=5.244 b=5.244 c=5.244 alpha=60.00 beta=60.00 gamma=60.00
Fractional positions:
Mg: 0.125 0.125 0.125
Mg: 0.125 0.125 0.625
Mg: 0.125 0.625 0.125
Mg: 0.625 0.125 0.125
Tc: 0.500 0.500 0.500
Os: 0.750 0.750 0.750

Peak list (10 most intense, 2θ from 10° to 90°, in order of rising 2θ)
2θ (°)	I_rel
20.7	69.8
34.2	94.8
40.3	100.0
53.9	17.2
61.2	35.3
65.4	31.7
72.0	19.5
75.9	12.8
82.2	15.4
86.0	11.3

No. 5
Diffraction record for ThMg2Zn2Os. The powder diffraction line list is simulated, not measured: it uses a crystal structure in Alexandria, relaxed with GGA-PBE and λ = 1.5418 Å (Cu Kα).

Crystal structure
Unit cell a=3.962 b=3.962 c=20.766 alpha=90.00 beta=90.00 gamma=90.00
Fractional positions:
Th: 0.000 0.000 0.000
Th: 0.500 0.500 0.500
Mg: 0.000 0.500 0.250
Mg: 0.000 0.500 0.750
Mg: 0.500 0.000 0.250
Mg: 0.500 0.000 0.750
Zn: 0.000 0.000 0.149
Zn: 0.000 0.000 0.851
Zn: 0.500 0.500 0.351
Zn: 0.500 0.500 0.649
Os: 0.000 0.000 0.500
Os: 0.500 0.500 0.000

Peak list (10 most intense, 2θ from 10° to 90°, in order of rising 2θ)
2θ (°)	I_rel
17.1	82.0
25.7	58.6
31.9	77.5
33.1	98.4
34.6	33.1
41.5	100.0
45.8	41.8
47.8	34.7
53.3	35.3
81.7	31.0

No. 6
Diffraction record for Tm6MgOs2. The powder diffraction line list is simulated, not measured: it uses a crystal structure in Alexandria, relaxed with GGA-PBE and λ = 1.5418 Å (Cu Kα).

Crystal structure
Unit cell a=8.433 b=8.433 c=8.433 alpha=113.06 beta=112.56 gamma=102.99
Fractional positions:
Tm: 0.036 0.244 0.792
Tm: 0.184 0.285 0.469
Tm: 0.184 0.715 0.899
Tm: 0.332 0.015 0.683
Tm: 0.332 0.648 0.317
Tm: 0.451 0.244 0.208
Tm: 0.549 0.756 0.792
Tm: 0.668 0.352 0.683
Tm: 0.668 0.985 0.317
Tm: 0.816 0.285 0.101
Tm: 0.816 0.715 0.531
Tm: 0.964 0.756 0.208
Mg: 0.000 0.000 0.000
Mg: 0.500 0.500 0.000
Os: 0.125 0.625 0.500
Os: 0.315 0.000 0.315
Os: 0.685 0.000 0.685
Os: 0.875 0.375 0.500

Peak list (10 most intense, 2θ from 10° to 90°, in order of rising 2θ)
2θ (°)	I_rel
13.4	62.2
25.6	20.9
32.0	43.2
33.4	47.2
34.8	44.9
35.7	100.0
38.7	21.3
38.8	31.9
39.4	44.8
56.4	26.8

No. 7
Diffraction record for MgV2Os3. The powder diffraction line list is simulated, not measured: it uses a crystal structure in Alexandria, relaxed with GGA-PBE and λ = 1.5418 Å (Cu Kα).

Crystal structure
Unit cell a=3.029 b=3.029 c=9.371 alpha=90.00 beta=90.00 gamma=90.00
Fractional positions:
Mg: 0.000 0.000 0.000
V: 0.000 0.000 0.332
V: 0.000 0.000 0.668
Os: 0.500 0.500 0.188
Os: 0.500 0.500 0.500
Os: 0.500 0.500 0.812

Peak list (10 most intense, 2θ from 10° to 90°, in order of rising 2θ)
2θ (°)	I_rel
28.6	25.4
29.5	53.9
41.5	100.0
42.2	52.1
51.8	21.0
61.2	17.2
68.9	9.2
69.4	10.3
75.3	13.1
76.7	32.7

No. 8
Diffraction record for Y3MgOs. The powder diffraction line list is simulated, not measured: it uses a crystal structure in Alexandria, relaxed with GGA-PBE and λ = 1.5418 Å (Cu Kα).

Crystal structure
Unit cell a=9.537 b=8.815 c=5.898 alpha=78.04 beta=64.73 gamma=37.23
Fractional positions:
Y: 0.194 0.582 0.418
Y: 0.205 0.205 0.795
Y: 0.418 0.806 0.194
Y: 0.582 0.194 0.806
Y: 0.795 0.795 0.205
Y: 0.806 0.418 0.582
Mg: 0.208 0.792 0.792
Mg: 0.792 0.208 0.208
Os: 0.250 0.250 0.250
Os: 0.750 0.750 0.750

Peak list (10 most intense, 2θ from 10° to 90°, in order of rising 2θ)
2θ (°)	I_rel
10.8	100.0
18.1	32.8
31.1	19.4
31.9	18.5
32.8	14.5
34.7	58.1
35.1	34.8
37.8	20.3
39.7	46.7
63.6	15.3

No. 9
Diffraction record for MgZn2Os. The powder diffraction line list is simulated, not measured: it uses a crystal structure in Alexandria, relaxed with GGA-PBE and λ = 1.5418 Å (Cu Kα).

Crystal structure
Unit cell a=2.700 b=4.143 c=5.434 alpha=90.00 beta=90.00 gamma=90.00
Fractional positions:
Mg: 0.000 0.000 0.000
Zn: 0.000 0.000 0.480
Zn: 0.500 0.500 0.736
Os: 0.500 0.500 0.242

Peak list (10 most intense, 2θ from 10° to 90°, in order of rising 2θ)
2θ (°)	I_rel
16.3	60.4
21.4	48.7
27.1	29.1
39.7	100.0
39.9	99.2
43.7	38.1
47.5	59.5
66.5	42.4
82.9	22.4
83.3	22.5

No. 10
Diffraction record for MgZrOs. The powder diffraction line list is simulated, not measured: it uses a crystal structure in Alexandria, relaxed with GGA-PBE and λ = 1.5418 Å (Cu Kα).

Crystal structure
Unit cell a=3.351 b=4.846 c=13.893 alpha=90.00 beta=90.00 gamma=90.00
Fractional positions:
Mg: 0.000 0.000 0.000
Mg: 0.000 0.500 0.500
Mg: 0.500 0.000 0.500
Mg: 0.500 0.500 0.000
Zr: 0.000 0.000 0.696
Zr: 0.000 0.500 0.196
Zr: 0.500 0.000 0.196
Zr: 0.500 0.500 0.696
Os: 0.000 0.000 0.344
Os: 0.000 0.500 0.844
Os: 0.500 0.000 0.844
Os: 0.500 0.500 0.344

Peak list (10 most intense, 2θ from 10° to 90°, in order of rising 2θ)
2θ (°)	I_rel
12.7	100.0
33.1	26.0
37.1	27.4
38.0	99.6
38.9	21.1
39.4	13.4
46.4	24.9
54.8	24.4
67.5	18.6
69.8	12.7

No. 11
Diffraction record for MgP8. The powder diffraction line list is simulated, not measured: it uses a crystal structure in Alexandria, relaxed with GGA-PBE and λ = 1.5418 Å (Cu Kα).

Crystal structure
Unit cell a=7.825 b=7.825 c=7.825 alpha=94.11 beta=94.11 gamma=148.95
Fractional positions:
Mg: 0.000 0.000 0.000
P: 0.000 0.400 0.400
P: 0.000 0.600 0.600
P: 0.395 0.395 0.791
P: 0.395 0.605 0.000
P: 0.400 0.000 0.400
P: 0.600 0.000 0.600
P: 0.605 0.395 0.000
P: 0.605 0.605 0.209

Peak list (10 most intense, 2θ from 10° to 90°, in order of rising 2θ)
2θ (°)	I_rel
16.6	100.0
22.8	17.6
23.6	10.8
33.1	39.2
37.2	13.4
43.2	15.9
46.6	10.9
47.9	40.9
49.9	13.5
51.0	16.4

No. 12
Diffraction record for Mg5P3. The powder diffraction line list is simulated, not measured: it uses a crystal structure in Alexandria, relaxed with GGA-PBE and λ = 1.5418 Å (Cu Kα).

Crystal structure
Unit cell a=7.576 b=7.576 c=7.475 alpha=98.63 beta=98.63 gamma=130.16
Fractional positions:
Mg: 0.000 0.000 0.000
Mg: 0.000 0.791 0.345
Mg: 0.143 0.518 0.188
Mg: 0.209 0.842 0.759
Mg: 0.349 0.571 0.603
Mg: 0.512 0.512 0.995
Mg: 0.518 0.143 0.188
Mg: 0.571 0.349 0.603
Mg: 0.791 0.000 0.345
Mg: 0.842 0.209 0.759
P: 0.132 0.132 0.696
P: 0.393 0.393 0.290
P: 0.446 0.936 0.462
P: 0.581 0.896 0.954
P: 0.896 0.581 0.954
P: 0.936 0.446 0.462

Peak list (10 most intense, 2θ from 10° to 90°, in order of rising 2θ)
2θ (°)	I_rel
28.0	54.2
34.4	100.0
34.7	52.3
36.4	50.9
36.7	50.1
38.6	50.1
39.5	51.4
40.1	55.7
41.2	89.5
41.5	64.3

No. 13
Diffraction record for MgP. The powder diffraction line list is simulated, not measured: it uses a crystal structure in Alexandria, relaxed with GGA-PBE and λ = 1.5418 Å (Cu Kα).

Crystal structure
Unit cell a=6.291 b=4.743 c=5.847 alpha=90.00 beta=116.22 gamma=90.00
Fractional positions:
Mg: 0.000 0.000 0.000
Mg: 0.000 0.388 0.500
Mg: 0.500 0.500 0.000
Mg: 0.500 0.888 0.500
P: 0.172 0.889 0.689
P: 0.328 0.389 0.311
P: 0.672 0.389 0.689
P: 0.828 0.889 0.311

Peak list (10 most intense, 2θ from 10° to 90°, in order of rising 2θ)
2θ (°)	I_rel
16.9	23.9
24.5	26.7
33.8	100.0
34.9	75.6
37.9	42.8
47.6	28.2
48.2	37.1
51.1	34.6
52.3	22.0
52.5	30.6

No. 14
Diffraction record for Mg2P. The powder diffraction line list is simulated, not measured: it uses a crystal structure in Alexandria, relaxed with GGA-PBE and λ = 1.5418 Å (Cu Kα).

Crystal structure
Unit cell a=3.996 b=5.521 c=11.795 alpha=90.00 beta=90.00 gamma=90.00
Fractional positions:
Mg: 0.000 0.000 0.000
Mg: 0.000 0.246 0.261
Mg: 0.000 0.254 0.761
Mg: 0.000 0.500 0.500
Mg: 0.000 0.746 0.761
Mg: 0.000 0.754 0.261
Mg: 0.500 0.000 0.573
Mg: 0.500 0.500 0.073
P: 0.000 0.000 0.448
P: 0.000 0.500 0.948
P: 0.500 0.000 0.148
P: 0.500 0.500 0.648

Peak list (10 most intense, 2θ from 10° to 90°, in order of rising 2θ)
2θ (°)	I_rel
15.0	16.0
17.7	24.3
22.2	24.3
27.0	66.1
35.9	100.0
37.9	60.5
42.7	76.1
45.4	33.9
47.7	28.7
59.2	29.2

No. 15
Diffraction record for Mg4P. The powder diffraction line list is simulated, not measured: it uses a crystal structure in Alexandria, relaxed with GGA-PBE and λ = 1.5418 Å (Cu Kα).

Crystal structure
Unit cell a=6.198 b=6.198 c=6.198 alpha=90.00 beta=90.00 gamma=90.00
Fractional positions:
Mg: 0.250 0.250 0.250
Mg: 0.250 0.250 0.750
Mg: 0.250 0.750 0.250
Mg: 0.250 0.750 0.750
Mg: 0.750 0.250 0.250
Mg: 0.750 0.250 0.750
Mg: 0.750 0.750 0.250
Mg: 0.750 0.750 0.750
P: 0.000 0.000 0.000
P: 0.500 0.500 0.500

Peak list (10 most intense, 2θ from 10° to 90°, in order of rising 2θ)
2θ (°)	I_rel
20.3	39.6
28.8	39.6
35.5	16.2
41.2	100.0
51.0	10.6
55.5	8.0
59.7	15.9
67.6	12.7
75.1	31.0
89.4	9.7